The following is a calculated X-ray diffraction stick pattern of LiS. It was derived from a DFT-relaxed cell (PBE, the Materials Project), using copper Kα.

Principal peaks in the range 10 to 90 degrees two-theta, in order of falling intensity:
2theta	d (Å)	I (rel.)
32.22	2.779	100
23.78	3.742	42
49.49	1.842	34
47.45	1.916	29
71.63	1.317	16
42.73	2.116	14
81.64	1.179	12
48.67	1.871	9

Cell and atoms:
a = 4.2988 Å, b = 4.2988 Å, c = 4.2988 Å
α = 139.26°, β = 139.26°, γ = 58.97°
Fractional positions:
Li  0.0000  0.0000  0.0000
S  0.2500  0.7500  0.5000


The following is a calculated X-ray diffraction stick pattern of MgSi. It was derived from a DFT-relaxed cell (PBE, the Materials Project), using copper Kα.

Principal peaks in the range 10 to 90 degrees two-theta, in order of falling intensity:
2theta	d (Å)	I (rel.)
37.59	2.393	100
38.66	2.329	87
37.35	2.407	77
36.50	2.462	74
39.42	2.286	68
41.70	2.166	63
41.00	2.201	58
44.88	2.019	44

Cell and atoms:
a = 2.9493 Å, b = 5.0369 Å, c = 14.4145 Å
α = 87.50°, β = 85.51°, γ = 89.80°
Fractional positions:
Mg  0.0369  0.2823  0.4275
Mg  0.1299  0.0130  0.2400
Mg  0.2002  0.5742  0.0950
Mg  0.7998  0.4258  0.9050
Mg  0.8701  0.9870  0.7600
Mg  0.9631  0.7177  0.5725
Si  0.2997  0.9096  0.9324
Si  0.3787  0.4947  0.7318
Si  0.4456  0.2092  0.5992
Si  0.5544  0.7908  0.4008
Si  0.6213  0.5053  0.2682
Si  0.7003  0.0904  0.0676


The following is a calculated X-ray diffraction stick pattern of AgBrO2. It was derived from a DFT-relaxed cell (PBE, the Materials Project), using copper Kα.

Principal peaks in the range 10 to 90 degrees two-theta, in order of falling intensity:
2theta	d (Å)	I (rel.)
13.55	6.537	100
27.27	3.270	52
25.93	3.437	29
39.45	2.284	25
41.17	2.193	19
22.48	3.955	16
47.24	1.924	15
25.57	3.484	12

Cell and atoms:
a = 4.5563 Å, b = 4.5707 Å, c = 6.5527 Å
α = 89.58°, β = 86.35°, γ = 60.15°
Fractional positions:
Ag  0.0000  0.0000  0.0000
Br  0.3330  0.3351  0.0051
O  0.3710  0.8195  0.5104
O  0.6805  0.7025  0.4922


The following is a calculated X-ray diffraction stick pattern of TeMoWSeS2. It was derived from a DFT-relaxed cell (PBE, the Materials Project), using copper Kα.

Principal peaks in the range 10 to 90 degrees two-theta, in order of falling intensity:
2theta	d (Å)	I (rel.)
11.91	7.432	100
36.85	2.439	85
31.23	2.864	46
44.78	2.024	41
55.56	1.654	28
14.30	6.194	20
46.64	1.947	14
33.51	2.674	14

Cell and atoms:
a = 3.3090 Å, b = 3.3090 Å, c = 37.1615 Å
α = 90.00°, β = 90.00°, γ = 120.00°
Fractional positions:
Te  0.0000  0.0000  0.0000
Te  0.0000  0.0000  0.1033
Mo  0.0000  0.0000  0.4879
Mo  0.3333  0.6667  0.6757
W  0.0000  0.0000  0.8635
W  0.3333  0.6667  0.0516
Se  0.0000  0.0000  0.6306
Se  0.0000  0.0000  0.7209
S  0.3333  0.6667  0.4468
S  0.3333  0.6667  0.5290
S  0.3333  0.6667  0.8223
S  0.3333  0.6667  0.9047


The following is a calculated X-ray diffraction stick pattern of La2CdAu2. It was derived from a DFT-relaxed cell (PBE, the Materials Project), using copper Kα.

Principal peaks in the range 10 to 90 degrees two-theta, in order of falling intensity:
2theta	d (Å)	I (rel.)
33.15	2.702	100
34.12	2.628	39
31.30	2.858	20
58.60	1.575	16
39.08	2.305	14
46.13	1.968	14
15.08	5.877	13
64.90	1.437	12

Cell and atoms:
a = 8.3107 Å, b = 8.3107 Å, c = 3.9358 Å
α = 90.00°, β = 90.00°, γ = 90.00°
Fractional positions:
La  0.1760  0.3240  0.0000
La  0.3240  0.8240  0.0000
La  0.6760  0.1760  0.0000
La  0.8240  0.6760  0.0000
Cd  0.0000  0.0000  0.5000
Cd  0.5000  0.5000  0.5000
Au  0.1251  0.6251  0.5000
Au  0.3749  0.1251  0.5000
Au  0.6251  0.8749  0.5000
Au  0.8749  0.3749  0.5000


The following is a calculated X-ray diffraction stick pattern of Ca6Cd32Cu. It was derived from a DFT-relaxed cell (PBE, the Materials Project), using copper Kα.

Principal peaks in the range 10 to 90 degrees two-theta, in order of falling intensity:
2theta	d (Å)	I (rel.)
38.13	2.360	100
34.49	2.601	52
36.95	2.433	52
31.86	2.809	40
58.47	1.578	21
20.41	4.352	21
41.50	2.176	19
67.37	1.390	18

Cell and atoms:
a = 9.7304 Å, b = 9.7304 Å, c = 9.7304 Å
α = 90.00°, β = 90.00°, γ = 90.00°
Fractional positions:
Ca  0.0000  0.2966  0.5000
Ca  0.0000  0.7034  0.5000
Ca  0.2966  0.5000  0.0000
Ca  0.5000  0.0000  0.2966
Ca  0.5000  0.0000  0.7034
Ca  0.7034  0.5000  0.0000
Cd  0.0000  0.0000  0.2425
Cd  0.0000  0.0000  0.7575
Cd  0.0000  0.2425  0.0000
Cd  0.0000  0.5000  0.1785
Cd  0.0000  0.5000  0.8215
Cd  0.0000  0.7575  0.0000
Cd  0.1785  0.0000  0.5000
Cd  0.2192  0.2192  0.2192
Cd  0.2192  0.2192  0.7808
Cd  0.2192  0.7808  0.2192
Cd  0.2192  0.7808  0.7808
Cd  0.2416  0.5000  0.3506
Cd  0.2416  0.5000  0.6494
Cd  0.2425  0.0000  0.0000
Cd  0.3506  0.2416  0.5000
Cd  0.3506  0.7584  0.5000
Cd  0.5000  0.1785  0.0000
Cd  0.5000  0.3506  0.2416
Cd  0.5000  0.3506  0.7584
Cd  0.5000  0.6494  0.2416
Cd  0.5000  0.6494  0.7584
Cd  0.5000  0.8215  0.0000
Cd  0.6494  0.2416  0.5000
Cd  0.6494  0.7584  0.5000
Cd  0.7575  0.0000  0.0000
Cd  0.7584  0.5000  0.3506
Cd  0.7584  0.5000  0.6494
Cd  0.7808  0.2192  0.2192
Cd  0.7808  0.2192  0.7808
Cd  0.7808  0.7808  0.2192
Cd  0.7808  0.7808  0.7808
Cd  0.8215  0.0000  0.5000
Cu  0.5000  0.5000  0.5000


The following is a calculated X-ray diffraction stick pattern of Hf3Pb. It was derived from a DFT-relaxed cell (PBE, the Materials Project), using copper Kα.

Principal peaks in the range 10 to 90 degrees two-theta, in order of falling intensity:
2theta	d (Å)	I (rel.)
34.68	2.586	100
40.26	2.240	50
69.60	1.351	41
58.25	1.584	34
73.18	1.293	12
87.00	1.120	6

Cell and atoms:
a = 4.4799 Å, b = 4.4799 Å, c = 4.4799 Å
α = 90.00°, β = 90.00°, γ = 90.00°
Fractional positions:
Hf  0.0000  0.0000  0.5000
Hf  0.0000  0.5000  0.0000
Hf  0.5000  0.0000  0.0000
Pb  0.5000  0.5000  0.5000


The following is a calculated X-ray diffraction stick pattern of Mg14GaCo. It was derived from a DFT-relaxed cell (PBE, the Materials Project), using copper Kα.

Principal peaks in the range 10 to 90 degrees two-theta, in order of falling intensity:
2theta	d (Å)	I (rel.)
37.80	2.380	100
37.98	2.369	46
36.20	2.481	35
33.03	2.712	25
71.44	1.320	16
59.25	1.559	16
66.17	1.412	15
49.81	1.831	15

Cell and atoms:
a = 9.9258 Å, b = 6.2381 Å, c = 6.2381 Å
α = 60.40°, β = 90.00°, γ = 90.00°
Fractional positions:
Mg  0.0000  0.0000  0.0000
Mg  0.0000  0.0057  0.5014
Mg  0.0000  0.4992  0.4992
Mg  0.0000  0.5014  0.0057
Mg  0.2479  0.6690  0.6690
Mg  0.2574  0.1649  0.1649
Mg  0.2763  0.1674  0.6820
Mg  0.2763  0.6820  0.1674
Mg  0.5000  0.4847  0.9874
Mg  0.5000  0.9874  0.4847
Mg  0.7237  0.1674  0.6820
Mg  0.7237  0.6820  0.1674
Mg  0.7426  0.1649  0.1649
Mg  0.7521  0.6690  0.6690
Ga  0.5000  0.5056  0.5056
Co  0.5000  0.0117  0.0117